Record 1
Starting from a crystal structure in Alexandria, relaxed with GGA-PBE, the PXRD pattern of Tb3N was simulated for Cu Kα X-rays.
Kinematic intensities with the Lorentz-polarization factor, no thermal factor.

Crystal structure
```
data_Tb3N
_symmetry_space_group_name_H-M 'P -4 m 2'
_symmetry_Int_Tables_number 115
_symmetry_space_group_name_Hall 'P -4 -2'
_cell_length_a 3.5532
_cell_length_b 3.5532
_cell_length_c 9.0357
_cell_angle_alpha 90.00
_cell_angle_beta 90.00
_cell_angle_gamma 90.00
loop_
_atom_site_label
_atom_site_fract_x
_atom_site_fract_y
_atom_site_fract_z
Tb1 0.0000 0.0000 0.0000
Tb2 0.0000 0.5000 0.6491
N1 0.5000 0.5000 0.5000
```

Main lines, sorted by position (2θ = 5–70°):
| 2theta | I_rel | index |
| --- | --- | --- |
| 26.96 | 100 | 1 0 1 |
| 29.66 | 41 | 0 0 3 |
| 32.05 | 76 | 1 0 2 |
| 37.14 | 50 | 1 1 1 |
| 41.11 | 24 | 1 1 2 |
| 54.64 | 28 | 1 1 4 |

Record 2
Starting from a crystal structure in Alexandria, relaxed with GGA-PBE, the PXRD pattern of Tb3Tc2N6 was simulated for Cu Kα X-rays.
Kinematic intensities with the Lorentz-polarization factor, no thermal factor.

Crystal structure
```
data_Tb3Tc2N6
_symmetry_space_group_name_H-M 'I 4/m m m'
_symmetry_Int_Tables_number 139
_symmetry_space_group_name_Hall '-I 4 2'
_cell_length_a 3.8935
_cell_length_b 3.8935
_cell_length_c 18.8785
_cell_angle_alpha 90.00
_cell_angle_beta 90.00
_cell_angle_gamma 90.00
loop_
_atom_site_label
_atom_site_fract_x
_atom_site_fract_y
_atom_site_fract_z
Tb1 0.0000 0.0000 0.0000
Tb2 0.0000 0.0000 0.1832
Tc1 0.0000 0.0000 0.4081
N1 0.0000 0.0000 0.3003
N2 0.0000 0.5000 0.0848
```

Main lines, sorted by position (2θ = 5–70°):
| 2theta | I_rel | index |
| --- | --- | --- |
| 32.52 | 61 | 1 1 0 |
| 33.05 | 100 | 1 0 5 |
| 43.69 | 10 | 1 1 6 |
| 46.66 | 30 | 2 0 0 |
| 58.36 | 40 | 2 1 5 |
| 59.36 | 12 | 1 1 10 |

Record 3
Starting from a crystal structure in Alexandria, relaxed with GGA-PBE, the PXRD pattern of TbTcN3 was simulated for Cu Kα X-rays.
Kinematic intensities with the Lorentz-polarization factor, no thermal factor.

Crystal structure
```
data_TbTcN3
_symmetry_space_group_name_H-M 'C 1 2/c 1'
_symmetry_Int_Tables_number 15
_symmetry_space_group_name_Hall '-C 2yc'
_cell_length_a 11.0916
_cell_length_b 9.7179
_cell_length_c 6.2781
_cell_angle_alpha 90.00
_cell_angle_beta 112.78
_cell_angle_gamma 90.00
loop_
_atom_site_label
_atom_site_fract_x
_atom_site_fract_y
_atom_site_fract_z
Tb1 0.0000 0.0914 0.2500
Tb2 0.0000 0.2946 0.7500
Tc1 0.2097 0.4130 0.2226
N1 0.1119 0.1088 0.6606
N2 0.1222 0.2530 0.1582
N3 0.1512 0.4885 0.9240
```

Main lines, sorted by position (2θ = 5–70°):
| 2theta | I_rel | index |
| --- | --- | --- |
| 25.87 | 100 | 2 2 -1 |
| 27.73 | 25 | 3 1 0 |
| 30.90 | 49 | 0 0 2 |
| 31.19 | 24 | 1 3 -1 |
| 33.11 | 37 | 2 2 1 |
| 34.48 | 28 | 1 3 1 |

Record 4
Starting from a crystal structure in Alexandria, relaxed with GGA-PBE, the PXRD pattern of Tb2VTcN5 was simulated for Cu Kα X-rays.
Kinematic intensities with the Lorentz-polarization factor, no thermal factor.

Crystal structure
```
data_Tb2VTcN5
_symmetry_space_group_name_H-M 'C m c 21'
_symmetry_Int_Tables_number 36
_symmetry_space_group_name_Hall 'C 2c -2'
_cell_length_a 3.3166
_cell_length_b 12.9351
_cell_length_c 9.8552
_cell_angle_alpha 90.00
_cell_angle_beta 90.00
_cell_angle_gamma 90.00
loop_
_atom_site_label
_atom_site_fract_x
_atom_site_fract_y
_atom_site_fract_z
Tb1 0.0000 0.1093 0.0000
Tb2 0.0000 0.1457 0.5901
V1 0.0000 0.4765 0.7661
Tc1 0.0000 0.2238 0.3142
N1 0.0000 0.0485 0.3486
N2 0.0000 0.2835 0.9391
N3 0.0000 0.3179 0.6782
N4 0.0000 0.3728 0.3091
N5 0.0000 0.4899 0.0894
```

Main lines, sorted by position (2θ = 5–70°):
| 2theta | I_rel | index |
| --- | --- | --- |
| 30.52 | 73 | 0 2 3 |
| 33.14 | 100 | 0 4 2 |
| 33.29 | 78 | 1 1 2 |
| 34.11 | 69 | 1 3 0 |
| 39.22 | 94 | 1 1 3 |
| 48.28 | 53 | 0 2 5 |

Record 5
Starting from a crystal structure in Alexandria, relaxed with GGA-PBE, the PXRD pattern of Tb5ThN4 was simulated for Cu Kα X-rays.
Kinematic intensities with the Lorentz-polarization factor, no thermal factor.

Crystal structure
```
data_Tb5ThN4
_symmetry_space_group_name_H-M 'C 1 2/m 1'
_symmetry_Int_Tables_number 12
_symmetry_space_group_name_Hall '-C 2y'
_cell_length_a 15.4782
_cell_length_b 3.5367
_cell_length_c 7.2285
_cell_angle_alpha 90.00
_cell_angle_beta 103.00
_cell_angle_gamma 90.00
loop_
_atom_site_label
_atom_site_fract_x
_atom_site_fract_y
_atom_site_fract_z
Tb1 0.0000 0.0000 0.0000
Tb2 0.1627 0.5000 0.8126
Tb3 0.1675 0.5000 0.3494
Th1 0.0000 0.0000 0.5000
N1 0.0025 0.5000 0.7559
N2 0.1695 0.0000 0.5859
```

Main lines, sorted by position (2θ = 5–70°):
| 2theta | I_rel | index |
| --- | --- | --- |
| 30.33 | 50 | 2 0 2 |
| 30.59 | 50 | 4 0 -2 |
| 30.91 | 100 | 3 1 0 |
| 35.51 | 84 | 1 1 -2 |
| 35.72 | 42 | 6 0 0 |
| 61.16 | 39 | 10 0 -2 |

Record 6
Starting from a crystal structure in Alexandria, relaxed with GGA-PBE, the PXRD pattern of Tb5ThN6 was simulated for Cu Kα X-rays.
Kinematic intensities with the Lorentz-polarization factor, no thermal factor.

Crystal structure
```
data_Tb5ThN6
_symmetry_space_group_name_H-M 'C 1 2/m 1'
_symmetry_Int_Tables_number 12
_symmetry_space_group_name_Hall '-C 2y'
_cell_length_a 6.1131
_cell_length_b 10.5845
_cell_length_c 6.1122
_cell_angle_alpha 90.00
_cell_angle_beta 109.45
_cell_angle_gamma 90.00
loop_
_atom_site_label
_atom_site_fract_x
_atom_site_fract_y
_atom_site_fract_z
Tb1 0.0000 0.0000 0.0000
Tb2 0.0000 0.1661 0.5000
Tb3 0.0000 0.3313 0.0000
Th1 0.0000 0.5000 0.5000
N1 0.2499 0.0000 0.7481
N2 0.2502 0.1664 0.2496
```

Main lines, sorted by position (2θ = 5–70°):
| 2theta | I_rel | index |
| --- | --- | --- |
| 17.52 | 1 | 1 1 0 |
| 31.04 | 100 | 2 0 0 |
| 35.99 | 70 | 1 3 1 |
| 51.81 | 49 | 2 0 2 |
| 61.64 | 45 | 3 3 1 |
| 64.70 | 17 | 4 0 0 |

Record 7
Starting from a crystal structure in Alexandria, relaxed with GGA-PBE, the PXRD pattern of Tb3ThN3 was simulated for Cu Kα X-rays.
Kinematic intensities with the Lorentz-polarization factor, no thermal factor.

Crystal structure
```
data_Tb3ThN3
_symmetry_space_group_name_H-M 'P m -3 m'
_symmetry_Int_Tables_number 221
_symmetry_space_group_name_Hall '-P 4 2 3'
_cell_length_a 5.0310
_cell_length_b 5.0310
_cell_length_c 5.0310
_cell_angle_alpha 90.00
_cell_angle_beta 90.00
_cell_angle_gamma 90.00
loop_
_atom_site_label
_atom_site_fract_x
_atom_site_fract_y
_atom_site_fract_z
Tb1 0.0000 0.0000 0.5000
Th1 0.5000 0.5000 0.5000
N1 0.0000 0.5000 0.5000
```

Main lines, sorted by position (2θ = 5–70°):
| 2theta | I_rel | index |
| --- | --- | --- |
| 17.63 | 4 | 1 0 0 |
| 30.78 | 100 | 1 1 1 |
| 35.69 | 65 | 2 0 0 |
| 51.37 | 45 | 2 2 0 |
| 61.09 | 45 | 3 1 1 |
| 64.12 | 15 | 2 2 2 |

Record 8
Starting from a crystal structure in Alexandria, relaxed with GGA-PBE, the PXRD pattern of TbTh2UN4 was simulated for Cu Kα X-rays.
Kinematic intensities with the Lorentz-polarization factor, no thermal factor.

Crystal structure
```
data_TbTh2UN4
_symmetry_space_group_name_H-M 'P 1 2/m 1'
_symmetry_Int_Tables_number 10
_symmetry_space_group_name_Hall '-P 2y'
_cell_length_a 6.1134
_cell_length_b 3.5529
_cell_length_c 6.1984
_cell_angle_alpha 90.00
_cell_angle_beta 109.12
_cell_angle_gamma 90.00
loop_
_atom_site_label
_atom_site_fract_x
_atom_site_fract_y
_atom_site_fract_z
Tb1 0.0000 0.0000 0.0000
Th1 0.0000 0.5000 0.5000
Th2 0.5000 0.0000 0.5000
U1 0.5000 0.5000 0.0000
N1 0.2613 0.5000 0.2266
N2 0.2695 0.0000 0.7786
```

Main lines, sorted by position (2θ = 5–70°):
| 2theta | I_rel | index |
| --- | --- | --- |
| 30.53 | 52 | 0 0 2 |
| 30.84 | 100 | 1 1 -1 |
| 30.96 | 50 | 2 0 0 |
| 35.66 | 89 | 1 1 1 |
| 51.16 | 48 | 2 0 2 |
| 61.25 | 46 | 3 1 -3 |

Record 9
Starting from a crystal structure in Alexandria, relaxed with GGA-PBE, the PXRD pattern of TbThZr2N4 was simulated for Cu Kα X-rays.
Kinematic intensities with the Lorentz-polarization factor, no thermal factor.

Crystal structure
```
data_TbThZr2N4
_symmetry_space_group_name_H-M 'I -4 m 2'
_symmetry_Int_Tables_number 119
_symmetry_space_group_name_Hall 'I -4 -2'
_cell_length_a 4.8564
_cell_length_b 4.8564
_cell_length_c 9.6800
_cell_angle_alpha 90.00
_cell_angle_beta 90.00
_cell_angle_gamma 90.00
loop_
_atom_site_label
_atom_site_fract_x
_atom_site_fract_y
_atom_site_fract_z
Tb1 0.0000 0.0000 0.0000
Th1 0.0000 0.5000 0.7500
Zr1 0.0000 0.0000 0.5000
Zr2 0.0000 0.5000 0.2500
N1 0.0000 0.0000 0.2556
N2 0.0000 0.5000 0.0070
```

Main lines, sorted by position (2θ = 5–70°):
| 2theta | I_rel | index |
| --- | --- | --- |
| 20.46 | 22 | 1 0 1 |
| 31.96 | 100 | 1 1 2 |
| 37.02 | 50 | 2 0 0 |
| 37.15 | 25 | 0 0 4 |
| 53.42 | 50 | 2 2 0 |
| 63.56 | 30 | 3 1 2 |

Record 10
Starting from a crystal structure in Alexandria, relaxed with GGA-PBE, the PXRD pattern of Tb4TmN4 was simulated for Cu Kα X-rays.
Kinematic intensities with the Lorentz-polarization factor, no thermal factor.

Crystal structure
```
data_Tb4TmN4
_symmetry_space_group_name_H-M 'I 4/m'
_symmetry_Int_Tables_number 87
_symmetry_space_group_name_Hall '-I 4'
_cell_length_a 7.8131
_cell_length_b 7.8131
_cell_length_c 4.9525
_cell_angle_alpha 90.00
_cell_angle_beta 90.00
_cell_angle_gamma 90.00
loop_
_atom_site_label
_atom_site_fract_x
_atom_site_fract_y
_atom_site_fract_z
Tb1 0.1090 0.3108 0.0000
Tm1 0.0000 0.0000 0.5000
N1 0.0967 0.2939 0.5000
```

Main lines, sorted by position (2θ = 5–70°):
| 2theta | I_rel | index |
| --- | --- | --- |
| 31.33 | 100 | 2 1 1 |
| 36.33 | 67 | 0 0 2 |
| 52.33 | 45 | 1 3 2 |
| 62.19 | 15 | 2 1 3 |
| 62.31 | 28 | 5 0 1 |
| 65.37 | 15 | 4 2 2 |

Record 11
Starting from a crystal structure in Alexandria, relaxed with GGA-PBE, the PXRD pattern of Tb3TmN4 was simulated for Cu Kα X-rays.
Kinematic intensities with the Lorentz-polarization factor, no thermal factor.

Crystal structure
```
data_Tb3TmN4
_symmetry_space_group_name_H-M 'P 1 2/c 1'
_symmetry_Int_Tables_number 13
_symmetry_space_group_name_Hall '-P 2yc'
_cell_length_a 6.0178
_cell_length_b 6.9523
_cell_length_c 6.0174
_cell_angle_alpha 90.00
_cell_angle_beta 109.46
_cell_angle_gamma 90.00
loop_
_atom_site_label
_atom_site_fract_x
_atom_site_fract_y
_atom_site_fract_z
Tb1 0.0000 0.1240 0.2500
Tb2 0.0000 0.3741 0.7500
Tb3 0.5000 0.3742 0.2500
Tm1 0.5000 0.1238 0.7500
N1 0.2512 0.3729 0.5025
N2 0.2545 0.1222 0.9994
```

Main lines, sorted by position (2θ = 5–70°):
| 2theta | I_rel | index |
| --- | --- | --- |
| 31.53 | 100 | 2 0 0 |
| 36.57 | 71 | 1 2 1 |
| 52.68 | 49 | 2 0 2 |
| 62.70 | 45 | 3 2 1 |
| 65.83 | 16 | 4 0 0 |

Record 12
Starting from a crystal structure in Alexandria, relaxed with GGA-PBE, the PXRD pattern of Tb3TmN4 was simulated for Cu Kα X-rays.
Kinematic intensities with the Lorentz-polarization factor, no thermal factor.

Crystal structure
```
data_Tb3TmN4
_symmetry_space_group_name_H-M 'P m -3 m'
_symmetry_Int_Tables_number 221
_symmetry_space_group_name_Hall '-P 4 2 3'
_cell_length_a 4.9154
_cell_length_b 4.9154
_cell_length_c 4.9154
_cell_angle_alpha 90.00
_cell_angle_beta 90.00
_cell_angle_gamma 90.00
loop_
_atom_site_label
_atom_site_fract_x
_atom_site_fract_y
_atom_site_fract_z
Tb1 0.0000 0.0000 0.5000
Tm1 0.5000 0.5000 0.5000
N1 0.0000 0.0000 0.0000
N2 0.0000 0.5000 0.5000
```

Main lines, sorted by position (2θ = 5–70°):
| 2theta | I_rel | index |
| --- | --- | --- |
| 31.53 | 100 | 1 1 1 |
| 36.56 | 71 | 2 0 0 |
| 52.67 | 49 | 2 2 0 |
| 62.69 | 45 | 3 1 1 |
| 65.82 | 16 | 2 2 2 |

> What is the formula in the twelfth record?

Tb3TmN4

Repeat the seventh record exactly.
Starting from a crystal structure in Alexandria, relaxed with GGA-PBE, the PXRD pattern of Tb3ThN3 was simulated for Cu Kα X-rays.
Kinematic intensities with the Lorentz-polarization factor, no thermal factor.

Crystal structure
```
data_Tb3ThN3
_symmetry_space_group_name_H-M 'P m -3 m'
_symmetry_Int_Tables_number 221
_symmetry_space_group_name_Hall '-P 4 2 3'
_cell_length_a 5.0310
_cell_length_b 5.0310
_cell_length_c 5.0310
_cell_angle_alpha 90.00
_cell_angle_beta 90.00
_cell_angle_gamma 90.00
loop_
_atom_site_label
_atom_site_fract_x
_atom_site_fract_y
_atom_site_fract_z
Tb1 0.0000 0.0000 0.5000
Th1 0.5000 0.5000 0.5000
N1 0.0000 0.5000 0.5000
```

Main lines, sorted by position (2θ = 5–70°):
| 2theta | I_rel | index |
| --- | --- | --- |
| 17.63 | 4 | 1 0 0 |
| 30.78 | 100 | 1 1 1 |
| 35.69 | 65 | 2 0 0 |
| 51.37 | 45 | 2 2 0 |
| 61.09 | 45 | 3 1 1 |
| 64.12 | 15 | 2 2 2 |